Entry 1:
This entry pairs a crystal structure of DyClO with its simulated X-ray diffraction stick pattern. Radiation: copper Kα. Structure: DFT lattice parameters and positions (PBE).
Kinematic intensities with the Lorentz-polarization factor, no thermal factor.

abc: 3.910 3.910 6.724
angles: 90.00 90.00 90.00
Space group P4/nmm (No. 129, origin choice 2)
Inequivalent atoms, fractional coordinates:
Dy1 0.250 0.250 0.167
Cl1 0.250 0.250 0.628
O1 0.250 0.750 0.000

Peak list (12 most intense, 10° ≤ 2θ ≤ 90°, most intense first)
hkl 1 0 2, 35.21 deg, rel. 100; hkl 1 0 1, 26.37 deg, rel. 87; hkl 1 1 0, 32.38 deg, rel. 66; hkl 0 0 1, 13.17 deg, rel. 44; hkl 2 1 2, 59.59 deg, rel. 42; hkl 2 0 0, 46.45 deg, rel. 33; hkl 2 1 1, 54.21 deg, rel. 30; hkl 1 1 3, 52.56 deg, rel. 24; hkl 1 1 2, 42.32 deg, rel. 19; hkl 1 0 4, 59.90 deg, rel. 14; hkl 2 1 4, 79.01 deg, rel. 13; hkl 3 1 0, 77.14 deg, rel. 11


Entry 2:
This entry pairs a crystal structure of DyTiClO3 with its simulated X-ray diffraction stick pattern. Radiation: copper Kα. Structure: DFT lattice parameters and positions (PBE).
Kinematic intensities with the Lorentz-polarization factor, no thermal factor.

abc: 9.842 3.922 9.906
angles: 90.00 106.77 90.00
Space group C2/m (No. 12)
Inequivalent atoms, fractional coordinates:
Dy1 0.222 0.000 0.205
Ti1 0.119 0.500 0.430
Cl1 0.114 0.000 0.905
O1 0.078 0.500 0.625
O2 0.151 0.500 0.252
O3 0.168 0.000 0.435

Peak list (12 most intense, 10° ≤ 2θ ≤ 90°, most intense first)
hkl 1 1 -1, 25.34 deg, rel. 100; hkl 2 0 0, 18.83 deg, rel. 61; hkl 3 1 -1, 35.70 deg, rel. 50; hkl 1 1 -3, 35.57 deg, rel. 29; hkl 0 0 2, 18.71 deg, rel. 26; hkl 2 0 -4, 37.21 deg, rel. 25; hkl 2 0 2, 30.35 deg, rel. 25; hkl 0 2 0, 46.30 deg, rel. 23; hkl 2 0 1, 23.38 deg, rel. 19; hkl 0 0 3, 28.23 deg, rel. 19; hkl 4 0 -2, 37.41 deg, rel. 17; hkl 2 0 -2, 22.44 deg, rel. 16


Entry 3:
This entry pairs a crystal structure of RbDy2Cl7 with its simulated X-ray diffraction stick pattern. Radiation: copper Kα. Structure: DFT lattice parameters and positions (PBE).
Kinematic intensities with the Lorentz-polarization factor, no thermal factor.

abc: 13.601 7.004 12.696
angles: 90.00 90.00 90.00
Space group Pnma (No. 62)
Inequivalent atoms, fractional coordinates:
Rb1 0.040 0.250 0.195
Dy1 0.237 0.250 0.540
Dy2 0.249 0.250 0.843
Cl1 0.111 0.750 0.188
Cl2 0.125 0.010 0.422
Cl3 0.134 0.010 0.960
Cl4 0.176 0.010 0.693

Peak list (12 most intense, 10° ≤ 2θ ≤ 90°, most intense first)
hkl 2 1 1, 19.49 deg, rel. 100; hkl 2 0 0, 13.02 deg, rel. 90; hkl 1 1 3, 25.45 deg, rel. 74; hkl 5 1 3, 41.51 deg, rel. 44; hkl 4 2 0, 36.85 deg, rel. 44; hkl 1 2 4, 38.86 deg, rel. 40; hkl 3 0 4, 34.49 deg, rel. 34; hkl 3 1 3, 31.62 deg, rel. 33; hkl 0 1 1, 14.44 deg, rel. 29; hkl 3 2 4, 43.32 deg, rel. 22; hkl 1 3 3, 44.84 deg, rel. 19; hkl 0 4 0, 52.24 deg, rel. 18


Entry 4:
This entry pairs a crystal structure of ErCl2 with its simulated X-ray diffraction stick pattern. Radiation: copper Kα. Structure: DFT lattice parameters and positions (PBE).
Kinematic intensities with the Lorentz-polarization factor, no thermal factor.

abc: 6.841 6.841 3.438
angles: 90.00 90.00 90.00
Space group P4_2/mnm (No. 136)
Inequivalent atoms, fractional coordinates:
Er1 0.000 0.000 0.000
Cl1 0.220 0.220 0.500

Peak list (12 most intense, 10° ≤ 2θ ≤ 90°, most intense first)
hkl 1 1 0, 18.34 deg, rel. 100; hkl 2 1 1, 39.43 deg, rel. 65; hkl 1 0 1, 29.07 deg, rel. 53; hkl 2 2 0, 37.17 deg, rel. 31; hkl 3 0 1, 47.87 deg, rel. 24; hkl 3 1 0, 41.75 deg, rel. 22; hkl 3 2 1, 55.31 deg, rel. 14; hkl 2 0 0, 26.05 deg, rel. 14; hkl 4 3 1, 74.67 deg, rel. 14; hkl 4 1 1, 62.12 deg, rel. 13; hkl 5 2 1, 80.63 deg, rel. 12; hkl 2 2 2, 66.77 deg, rel. 11


Please write out number 2 again, unchanged.
This entry pairs a crystal structure of DyTiClO3 with its simulated X-ray diffraction stick pattern. Radiation: copper Kα. Structure: DFT lattice parameters and positions (PBE).
Kinematic intensities with the Lorentz-polarization factor, no thermal factor.

abc: 9.842 3.922 9.906
angles: 90.00 106.77 90.00
Space group C2/m (No. 12)
Inequivalent atoms, fractional coordinates:
Dy1 0.222 0.000 0.205
Ti1 0.119 0.500 0.430
Cl1 0.114 0.000 0.905
O1 0.078 0.500 0.625
O2 0.151 0.500 0.252
O3 0.168 0.000 0.435

Peak list (12 most intense, 10° ≤ 2θ ≤ 90°, most intense first)
hkl 1 1 -1, 25.34 deg, rel. 100; hkl 2 0 0, 18.83 deg, rel. 61; hkl 3 1 -1, 35.70 deg, rel. 50; hkl 1 1 -3, 35.57 deg, rel. 29; hkl 0 0 2, 18.71 deg, rel. 26; hkl 2 0 -4, 37.21 deg, rel. 25; hkl 2 0 2, 30.35 deg, rel. 25; hkl 0 2 0, 46.30 deg, rel. 23; hkl 2 0 1, 23.38 deg, rel. 19; hkl 0 0 3, 28.23 deg, rel. 19; hkl 4 0 -2, 37.41 deg, rel. 17; hkl 2 0 -2, 22.44 deg, rel. 16


Copy entry 4 word for word.
This entry pairs a crystal structure of ErCl2 with its simulated X-ray diffraction stick pattern. Radiation: copper Kα. Structure: DFT lattice parameters and positions (PBE).
Kinematic intensities with the Lorentz-polarization factor, no thermal factor.

abc: 6.841 6.841 3.438
angles: 90.00 90.00 90.00
Space group P4_2/mnm (No. 136)
Inequivalent atoms, fractional coordinates:
Er1 0.000 0.000 0.000
Cl1 0.220 0.220 0.500

Peak list (12 most intense, 10° ≤ 2θ ≤ 90°, most intense first)
hkl 1 1 0, 18.34 deg, rel. 100; hkl 2 1 1, 39.43 deg, rel. 65; hkl 1 0 1, 29.07 deg, rel. 53; hkl 2 2 0, 37.17 deg, rel. 31; hkl 3 0 1, 47.87 deg, rel. 24; hkl 3 1 0, 41.75 deg, rel. 22; hkl 3 2 1, 55.31 deg, rel. 14; hkl 2 0 0, 26.05 deg, rel. 14; hkl 4 3 1, 74.67 deg, rel. 14; hkl 4 1 1, 62.12 deg, rel. 13; hkl 5 2 1, 80.63 deg, rel. 12; hkl 2 2 2, 66.77 deg, rel. 11